For K3Rb8Tl2, a cell relaxed with PBE gives the computed powder diffraction line list in this record (Cu Kα (weighted mean of Kα1 and Kα2)).

Peak list (12 most intense, 2θ from 10° to 80°, in order of rising 2θ)
d_spacing  2θ (°)  I_rel  hkl
8.554  10.3  24.5  1 0 -1
6.921  12.8  21.0  0 1 0
6.142  14.4  18.3  0 1 1
3.941  22.6  36.4  2 1 0
3.679  24.2  100.0  1 1 -3
3.635  24.5  34.2  2 1 1
3.460  25.7  51.3  0 2 0
3.191  28.0  33.8  2 1 2
3.110  28.7  19.6  3 0 -2
3.009  29.7  24.9  1 1 -4
2.313  38.9  20.8  3 2 -2
2.037  44.5  19.2  1 3 -3

abc: 9.7497 6.9208 13.5558
angles: 90.00 100.45 90.00
Space group P2/m (No. 10)
Symmetry-distinct sites (fractional):
K  0.0000  0.0000  0.0000 x1
K  0.2657  0.5000  0.9322 x2
Rb  0.0596  0.0000  0.6585 x2
Rb  0.1941  0.5000  0.2673 x2
Rb  0.3358  0.5000  0.5887 x2
Rb  0.4652  0.0000  0.1831 x2
Tl  0.3505  0.0000  0.4461 x2

For SrTb2CeS4, a cell relaxed with PBE gives the computed powder diffraction line list in this record (Cu Kα (weighted mean of Kα1 and Kα2)).

Peak list (12 most intense, 2θ from 10° to 80°, in order of rising 2θ)
d_spacing  2θ (°)  I_rel  hkl
3.305  27.0  35.4  2 0 0
3.276  27.2  34.5  1 1 -1
2.849  31.4  100.0  1 1 1
2.028  44.7  12.2  2 0 2
2.015  45.0  48.0  1 1 -3
2.002  45.3  11.8  0 2 0
1.724  53.1  11.9  3 1 1
1.712  53.5  11.5  2 2 0
1.652  55.6  12.5  0 0 4
1.638  56.2  12.3  2 2 -2
1.425  65.5  11.5  2 2 2
1.274  74.5  21.1  0 2 4

abc: 6.9926 4.0033 6.9984
angles: 90.00 109.13 90.00
Space group P2/m (No. 10)
Symmetry-distinct sites (fractional):
Sr  0.0000  0.0000  0.0000 x1
Tb  0.5000  0.0000  0.5000 x1
Tb  0.5000  0.5000  0.0000 x1
Ce  0.0000  0.5000  0.5000 x1
S  0.2624  0.0000  0.7515 x2
S  0.2655  0.5000  0.2588 x2

For ScFe6Ge4, a cell relaxed with PBE gives the computed powder diffraction line list in this record (Cu Kα (weighted mean of Kα1 and Kα2)).

Peak list (12 most intense, 2θ from 10° to 80°, in order of rising 2θ)
d_spacing  2θ (°)  I_rel  hkl
5.033  17.6  63.3  1 0 1
3.093  28.9  33.3  2 0 0
2.635  34.0  38.4  2 1 1
2.615  34.3  23.9  1 0 3
2.516  35.7  100.0  2 0 2
2.187  41.3  63.4  2 2 0
2.006  45.2  59.5  3 0 1
1.997  45.4  59.8  2 1 3
1.956  46.4  35.2  3 1 0
1.940  46.8  89.6  1 1 4
1.783  51.3  28.8  3 1 2
1.475  63.0  21.8  3 2 3

abc: 6.1859 6.1859 8.6558
angles: 90.00 90.00 90.00
Space group I-42m (No. 121)
Symmetry-distinct sites (fractional):
Sc  0.0000  0.0000  0.0000 x2
Fe  0.0000  0.5000  0.0000 x4
Fe  0.1569  0.1569  0.5901 x8
Ge  0.2059  0.2059  0.3146 x8

For NdPuTl3, a cell relaxed with PBE gives the computed powder diffraction line list in this record (Cu Kα (weighted mean of Kα1 and Kα2)).

Peak list (12 most intense, 2θ from 10° to 80°, in order of rising 2θ)
d_spacing  2θ (°)  I_rel  hkl
4.448  20.0  19.0  1 0 1
3.879  22.9  24.2  1 1 0
2.924  30.6  100.0  2 0 1
2.714  33.0  34.5  1 0 2
2.540  35.3  56.3  2 1 0
2.224  40.6  51.4  2 0 2
2.095  43.2  26.0  3 0 1
1.940  46.8  24.7  2 2 0
1.705  53.8  20.9  2 0 3
1.578  58.5  21.9  3 1 2
1.368  68.6  22.6  3 2 2
1.281  74.0  17.7  2 1 4

abc: 7.7586 7.7586 5.9346
angles: 90.00 90.00 120.00
Space group P6_3/mmc (No. 194)
Symmetry-distinct sites (fractional):
Nd  0.3333  0.6667  0.2500 x2
Pu  0.0000  0.0000  0.0000 x2
Tl  0.2016  0.4033  0.7500 x6

For IrOsF, a cell relaxed with PBE gives the computed powder diffraction line list in this record (Cu Kα (weighted mean of Kα1 and Kα2)).

Peak list (12 most intense, 2θ from 10° to 80°, in order of rising 2θ)
d_spacing  2θ (°)  I_rel  hkl
6.229  14.2  100.0  0 0 3
3.115  28.7  16.0  0 0 6
2.370  38.0  88.2  1 0 1
2.127  42.5  78.5  1 0 4
2.076  43.6  33.2  0 0 9
2.013  45.0  64.1  0 1 5
1.670  55.0  32.6  0 1 8
1.472  63.2  18.1  1 0 10
1.379  68.0  26.7  1 1 0
1.347  69.8  10.3  1 1 3
1.261  75.4  6.9  1 1 6
1.232  77.5  14.7  1 0 13

abc: 2.7588 2.7588 18.6871
angles: 90.00 90.00 120.00
Space group R3m (No. 160, hexagonal axes)
Symmetry-distinct sites (fractional):
Ir  0.0000  0.0000  0.0000 x3
Os  0.0000  0.0000  0.2241 x3
F  0.0000  0.0000  0.1146 x3

For DyEr3Pd2, a cell relaxed with PBE gives the computed powder diffraction line list in this record (Cu Kα (weighted mean of Kα1 and Kα2)).

Peak list (12 most intense, 2θ from 10° to 80°, in order of rising 2θ)
d_spacing  2θ (°)  I_rel  hkl
3.989  22.3  49.9  1 2 1
3.443  25.9  43.2  2 0 0
3.399  26.2  35.2  0 4 0
3.056  29.2  38.6  1 1 2
2.579  34.8  82.9  1 3 2
2.462  36.5  44.7  2 0 2
2.446  36.7  41.6  0 4 2
2.419  37.2  100.0  2 4 0
2.315  38.9  34.6  2 2 2
1.905  47.7  34.5  3 1 2
1.424  65.5  39.8  2 4 4
1.367  68.7  24.5  3 7 2

abc: 6.8857 13.5980 7.0471
angles: 90.00 90.00 90.00
Space group Ibam (No. 72)
Symmetry-distinct sites (fractional):
Dy  0.0000  0.0000  0.0000 x4
Er  0.0000  0.2340  0.2500 x8
Er  0.0000  0.5000  0.2500 x4
Pd  0.2085  0.3594  0.0000 x8

For PmNd2YBi5, a cell relaxed with PBE gives the computed powder diffraction line list in this record (Cu Kα (weighted mean of Kα1 and Kα2)).

Peak list (12 most intense, 2θ from 10° to 80°, in order of rising 2θ)
d_spacing  2θ (°)  I_rel  hkl
3.921  22.7  53.9  1 1 0
3.726  23.9  49.5  1 1 1
3.279  27.2  54.2  1 1 2
3.236  27.6  24.2  1 0 3
2.989  29.9  56.3  0 0 4
2.795  32.0  35.0  1 1 3
2.773  32.3  100.0  2 0 0
2.377  37.8  24.2  1 1 4
2.033  44.6  76.9  2 0 4
1.961  46.3  37.3  2 2 0
1.639  56.1  39.4  2 2 4
1.316  71.7  20.6  2 0 8

abc: 5.5456 5.5456 11.9552
angles: 90.00 90.00 90.00
Space group P4/mmm (No. 123)
Symmetry-distinct sites (fractional):
Pm  0.0000  0.0000  0.0000 x1
Nd  0.5000  0.5000  0.2249 x2
Y  0.0000  0.0000  0.5000 x1
Bi  0.0000  0.0000  0.2564 x2
Bi  0.0000  0.5000  0.0000 x2
Bi  0.5000  0.5000  0.5000 x1

For Ho2HO3, a cell relaxed with PBE gives the computed powder diffraction line list in this record (Cu Kα (weighted mean of Kα1 and Kα2)).

Peak list (12 most intense, 2θ from 10° to 80°, in order of rising 2θ)
d_spacing  2θ (°)  I_rel  hkl
3.158  28.3  100.0  2 0 2
3.116  28.6  60.1  0 1 1
2.937  30.4  72.1  1 1 1
2.860  31.3  92.3  1 0 3
2.790  32.1  86.4  3 0 1
2.649  33.8  39.1  2 1 0
2.562  35.0  55.3  1 1 2
2.543  35.3  41.9  2 1 1
2.166  41.7  54.4  1 1 3
1.978  45.9  52.1  3 1 2
1.832  49.8  45.0  1 1 4
1.426  65.5  36.7  3 2 1

abc: 8.7974 3.3179 9.0718
angles: 90.00 90.00 90.00
Space group Pnma (No. 62)
Symmetry-distinct sites (fractional):
Ho  0.0110  0.2500  0.1772 x4
Ho  0.1826  0.2500  0.4943 x4
H  0.2057  0.7500  0.1972 x4
O  0.0390  0.7500  0.3770 x4
O  0.1219  0.2500  0.9462 x4
O  0.2346  0.7500  0.7066 x4